Entry 1:
# Li2UO4
Simulated powder diffraction line list, Cu Kα. Input: DFT lattice parameters and positions (PBE).

Structural model:
Unit cell a=10.666 b=6.106 c=5.180 alpha=90.00 beta=90.00 gamma=90.00
Sites, in units of the cell vectors:
Li1 0.000 0.000 0.000
Li2 0.000 0.500 0.000
Li3 0.076 0.250 0.460
Li4 0.424 0.750 0.960
Li5 0.500 0.000 0.500
Li6 0.500 0.500 0.500
Li7 0.576 0.250 0.040
Li8 0.924 0.750 0.540
U1 0.238 0.750 0.513
U2 0.262 0.250 0.013
U3 0.738 0.750 0.987
U4 0.762 0.250 0.487
O1 0.086 0.750 0.715
O2 0.102 0.250 0.826
O3 0.167 0.014 0.266
O4 0.167 0.486 0.266
O5 0.333 0.514 0.766
O6 0.333 0.986 0.766
O7 0.398 0.750 0.326
O8 0.414 0.250 0.215
O9 0.586 0.750 0.785
O10 0.602 0.250 0.674
O11 0.667 0.014 0.234
O12 0.667 0.486 0.234
O13 0.833 0.514 0.734
O14 0.833 0.986 0.734
O15 0.898 0.750 0.174
O16 0.914 0.250 0.285

Peak list (10 most intense, 2θ from 10° to 90°, sorted by position)
| two_theta | Rel. int. |
| --- | --- |
| 16.6 | 53 |
| 24.0 | 100 |
| 29.3 | 15 |
| 33.9 | 53 |
| 38.6 | 12 |
| 46.0 | 10 |
| 48.5 | 13 |
| 48.8 | 16 |
| 49.2 | 18 |
| 54.9 | 10 |



Entry 2:
# Pm5Pr2Tm2
Simulated powder diffraction line list, Cu Kα. Input: DFT lattice parameters and positions (PBE).

Structural model:
Unit cell a=8.116 b=8.116 c=8.110 alpha=107.42 beta=107.42 gamma=36.84
Sites, in units of the cell vectors:
Pm1 0.000 0.000 0.000
Pm2 0.112 0.112 0.664
Pm3 0.442 0.442 0.665
Pm4 0.558 0.558 0.335
Pm5 0.888 0.888 0.336
Pr1 0.334 0.334 0.002
Pr2 0.666 0.666 0.998
Tm1 0.222 0.222 0.336
Tm2 0.778 0.778 0.664

Peak list (10 most intense, 2θ from 10° to 90°, sorted by position)
| two_theta | Rel. int. |
| --- | --- |
| 30.2 | 100 |
| 35.0 | 51 |
| 50.3 | 36 |
| 59.8 | 43 |
| 62.7 | 12 |
| 73.9 | 6 |
| 81.8 | 15 |
| 81.9 | 3 |
| 84.4 | 7 |
| 84.5 | 10 |